No. 1
Structure and computed powder diffraction line list of ErMg3Pd (DFT lattice parameters and positions (GGA-PBE); Cu Kα).
Lines closer than 0.1° are merged.

The 10 most intense peaks (10 to 80 degrees two-theta), by angle:
Position (°2θ)  d [Å]  intensity
16.38  5.410  32.3
19.18  4.627  72.3
20.66  4.299  25.1
25.33  3.516  26.8
28.34  3.150  26.3
31.30  2.858  43.6
36.97  2.432  100.0
38.43  2.343  24.9
38.93  2.314  24.0
50.77  1.798  22.5

```
ErMg3Pd
1.0
4.627 0.000 0.000
0.000 4.685 0.000
0.000 0.000 10.821
Er Mg Pd
2 6 2
direct
0.000 0.000 0.000
0.000 0.500 0.500
0.000 0.000 0.707
0.000 0.500 0.207
0.500 0.000 0.222
0.500 0.000 0.502
0.500 0.500 0.002
0.500 0.500 0.722
0.000 0.000 0.352
0.000 0.500 0.852
```

***

No. 2
Structure and computed powder diffraction line list of Ba2Li5Cd4 (DFT lattice parameters and positions (GGA-PBE); Cu Kα).
Lines closer than 0.1° are merged.

The 10 most intense peaks (10 to 80 degrees two-theta), by angle:
Position (°2θ)  d [Å]  intensity
19.68  4.511  100.0
28.30  3.153  46.8
29.53  3.025  74.4
32.77  2.733  87.5
34.71  2.585  54.7
38.51  2.337  18.4
45.99  1.974  37.7
50.87  1.795  15.8
53.00  1.728  21.6
64.12  1.452  14.4

```
Ba2Li5Cd4
1.0
0.000 5.268 9.021
3.153 0.000 9.021
3.153 5.268 0.000
Ba Li Cd
2 5 4
direct
0.144 0.144 0.856
0.856 0.856 0.144
0.000 0.000 0.500
0.250 0.250 0.250
0.500 0.500 0.000
0.500 0.500 0.500
0.750 0.750 0.750
0.213 0.530 0.470
0.470 0.787 0.213
0.530 0.213 0.787
0.787 0.470 0.530
```

***

No. 3
Structure and computed powder diffraction line list of PrYAlRh (DFT lattice parameters and positions (GGA-PBE); Cu Kα).
Lines closer than 0.1° are merged.

The 10 most intense peaks (10 to 80 degrees two-theta), by angle:
Position (°2θ)  d [Å]  intensity
21.33  4.166  15.5
24.67  3.608  9.2
35.17  2.551  100.0
41.50  2.176  8.4
43.44  2.083  2.8
50.59  1.804  17.5
55.51  1.656  3.6
57.08  1.614  3.7
63.12  1.473  35.6
74.36  1.276  10.9

```
PrYAlRh
1.0
7.216 0.000 0.000
0.000 7.216 0.000
0.000 0.000 7.216
Pr Y Al Rh
4 4 4 4
direct
0.000 0.000 0.000
0.000 0.500 0.500
0.500 0.000 0.500
0.500 0.500 0.000
0.000 0.000 0.500
0.000 0.500 0.000
0.500 0.000 0.000
0.500 0.500 0.500
0.250 0.250 0.250
0.250 0.750 0.750
0.750 0.250 0.750
0.750 0.750 0.250
0.250 0.250 0.750
0.250 0.750 0.250
0.750 0.250 0.250
0.750 0.750 0.750
```